# Li5Fe4P4O16F
Computed powder XRD pattern, Cu Kα (weighted mean of Kα1 and Kα2). Input: a GGA+U-relaxed structure.
Kinematic intensities with the Lorentz-polarization factor, no thermal factor.

Largest 8 diffraction maxima, by angle, 10 to 90 degrees two-theta:
Position (°2θ)  d [Å]  I (rel.)  h k l
10.89  8.123  41.8  1 1 0
18.90  4.694  31.1  1 0 1
24.49  3.634  100.0  3 1 0
29.07  3.072  77.0  3 0 1
33.07  2.708  43.1  3 2 1
34.89  2.571  40.6  0 0 2
43.12  2.098  42.7  4 3 1
46.07  1.970  30.5  5 3 0

Cell and atoms:
abc: 11.488 11.488 5.143
angles: 90.00 90.00 90.00
Space group I-4 (No. 82)
One atom of each set of equivalent atoms:
Li: 0.000 0.000 0.000 [2 per cell]
Li: 0.001 0.381 0.451 [8 per cell]
Fe: 0.122 0.846 0.537 [8 per cell]
P: 0.066 0.268 0.970 [8 per cell]
O: 0.008 0.626 0.046 [8 per cell]
O: 0.038 0.162 0.150 [8 per cell]
O: 0.038 0.233 0.679 [8 per cell]
O: 0.195 0.301 0.995 [8 per cell]
F: 0.000 0.000 0.500 [2 per cell]